Entry 1:
For Ti3GaCo4, a cell relaxed with GGA-PBE gives the computed XRD peak list in this record (copper Kα).
Neutral-atom scattering factors, no anomalous dispersion.

Top 10 peaks for 5° ≤ 2θ ≤ 70°, low angle first:
2theta  I_rel  (hkl)
12.91  1  0 0 3
25.07  1  1 0 1
26.18  1  0 1 2
30.27  1  1 0 4
33.03  1  0 1 5
39.55  3  1 0 7
43.20  100  0 1 8
43.46  100  1 1 0
60.21  1  0 2 7
62.95  30  2 0 8

```
data_Ti3GaCo4
_chemical_formula_sum 'Ti9 Ga3 Co12'
_space_group_name_H-M_alt 'R -3 m'
_space_group_IT_number 166
_space_group_name_Hall '-R 3 2"'
_cell_length_a 4.1644
_cell_length_b 4.1644
_cell_length_c 20.5753
_cell_angle_alpha 90.00
_cell_angle_beta 90.00
_cell_angle_gamma 120.00
loop_
_atom_site_label
_atom_site_type_symbol
_atom_site_fract_x
_atom_site_fract_y
_atom_site_fract_z
Ti1 Ti 0.0000 0.0000 0.0000
Ti2 Ti 0.0000 0.0000 0.2460
Ga1 Ga 0.0000 0.0000 0.5000
Co1 Co 0.0000 0.0000 0.1218
Co2 Co 0.0000 0.0000 0.3728
```

Entry 2:
For Ti2Ga2Co3, a cell relaxed with GGA-PBE gives the computed XRD peak list in this record (copper Kα).
Neutral-atom scattering factors, no anomalous dispersion.

Top 10 peaks for 5° ≤ 2θ ≤ 70°, low angle first:
2theta  I_rel  (hkl)
25.21  18  1 1 0
26.48  8  1 1 -1
27.83  3  0 0 2
31.07  4  1 1 1
41.36  23  2 0 -3
43.63  100  0 2 0
45.38  80  2 0 2
51.06  3  4 0 -1
61.69  7  2 2 -3
64.78  26  2 2 2

```
data_Ti2Ga2Co3
_chemical_formula_sum 'Ti4 Ga4 Co6'
_space_group_name_H-M_alt 'C 1 2/m 1'
_space_group_IT_number 12
_space_group_name_Hall '-C 2y'
_cell_length_a 7.1864
_cell_length_b 4.1488
_cell_length_c 6.8414
_cell_angle_alpha 90.00
_cell_angle_beta 110.41
_cell_angle_gamma 90.00
loop_
_atom_site_label
_atom_site_type_symbol
_atom_site_fract_x
_atom_site_fract_y
_atom_site_fract_z
Ti1 Ti 0.1163 0.0000 0.3482
Ga1 Ga 0.1293 0.5000 0.8892
Co1 Co 0.0000 0.5000 0.5000
Co2 Co 0.2427 0.0000 0.7283
```

Entry 3:
For TmGa8Co2, a cell relaxed with GGA-PBE gives the computed XRD peak list in this record (copper Kα).
Neutral-atom scattering factors, no anomalous dispersion.

Top 10 peaks for 5° ≤ 2θ ≤ 70°, low angle first:
2theta  I_rel  (hkl)
12.39  21  0 0 1
15.63  20  1 0 0
19.99  34  1 0 1
25.47  53  1 1 1
34.02  16  2 0 1
37.78  16  0 0 3
40.63  100  2 0 2
45.23  50  2 2 0
50.02  19  2 0 3
60.33  20  2 2 3

```
data_TmGa8Co2
_chemical_formula_sum 'Tm1 Ga8 Co2'
_space_group_name_H-M_alt 'P 4/m m m'
_space_group_IT_number 123
_space_group_name_Hall '-P 4 2'
_cell_length_a 5.6705
_cell_length_b 5.6705
_cell_length_c 7.1440
_cell_angle_alpha 90.00
_cell_angle_beta 90.00
_cell_angle_gamma 90.00
loop_
_atom_site_label
_atom_site_type_symbol
_atom_site_fract_x
_atom_site_fract_y
_atom_site_fract_z
Tm1 Tm 0.0000 0.0000 0.0000
Ga1 Ga 0.2562 0.2562 0.3039
Co1 Co 0.0000 0.5000 0.5000
```

Entry 4:
For TmGa3Co3, a cell relaxed with GGA-PBE gives the computed XRD peak list in this record (copper Kα).
Neutral-atom scattering factors, no anomalous dispersion.

Top 10 peaks for 5° ≤ 2θ ≤ 70°, low angle first:
2theta  I_rel  (hkl)
19.72  2  1 1 0
28.03  43  2 0 0
31.42  1  2 1 0
34.51  100  2 1 1
45.03  1  3 1 0
49.60  7  2 2 2
53.88  55  3 2 1
57.94  19  4 0 0
65.58  15  4 2 0
69.22  13  3 3 2

```
data_TmGa3Co3
_chemical_formula_sum 'Tm2 Ga6 Co6'
_space_group_name_H-M_alt 'P m -3 n'
_space_group_IT_number 223
_space_group_name_Hall '-P 4n 2 3'
_cell_length_a 6.3666
_cell_length_b 6.3666
_cell_length_c 6.3666
_cell_angle_alpha 90.00
_cell_angle_beta 90.00
_cell_angle_gamma 90.00
loop_
_atom_site_label
_atom_site_type_symbol
_atom_site_fract_x
_atom_site_fract_y
_atom_site_fract_z
Tm1 Tm 0.0000 0.0000 0.0000
Ga1 Ga 0.0000 0.2500 0.5000
Co1 Co 0.0000 0.5000 0.2500
```